For NaLa2Ti2MnO9, a structure optimized by DFT (GGA+U) gives the calculated X-ray diffraction stick pattern in this record (copper Kα).
Peak positions follow from Bragg's law for the DFT cell and can differ from measured ones.

Most intense lines, 2θ = 5–70°, sorted by position:
index  2θ (°)  intensity
0 0 1  6.5  26
1 1 -1  19.6  33
1 1 -4  32.2  96
3 1 0  32.4  100
2 2 1  38.0  19
0 0 6  39.8  25
4 0 -4  46.3  23
2 2 4  46.3  46
1 3 -4  57.5  50
4 0 8  67.8  20

Crystal structure
```
data_NaLa2Ti2MnO9
_chemical_formula_sum 'Na4 La8 Ti8 Mn4 O36'
_cell_length_a 9.568
_cell_length_b 5.559
_cell_length_c 13.596
_cell_angle_alpha 90.00
_cell_angle_beta 90.29
_cell_angle_gamma 90.00
_symmetry_space_group_name_H-M 'C 1 2 1'
_symmetry_Int_Tables_number 5
loop_
_symmetry_equiv_pos_as_xyz
'x,y,z'
'-x,y,-z'
'x+1/2,y+1/2,z'
'-x+1/2,y+1/2,-z'
loop_
_atom_site_label
_atom_site_type_symbol
_atom_site_fract_x
_atom_site_fract_y
_atom_site_fract_z
Na1 Na 0.166 0.000 0.165
La1 La 0.000 0.501 0.000
La2 La 0.000 0.501 0.500
La3 La 0.165 0.001 0.669
Ti1 Ti 0.003 0.506 0.247
Ti2 Ti 0.168 0.006 0.917
Mn1 Mn 0.168 0.998 0.414
O1 O 0.000 0.060 0.000
O2 O 0.000 0.941 0.500
O3 O 0.069 0.284 0.353
O4 O 0.074 0.717 0.854
O5 O 0.093 0.217 0.814
O6 O 0.095 0.767 0.313
O7 O 0.157 0.568 0.663
O8 O 0.167 0.443 0.165
O9 O 0.239 0.220 0.520
O10 O 0.241 0.774 0.018
```